The following is a theoretical XRD peak list of CsCeMnO4. It was derived from DFT lattice parameters and positions (GGA+U), using λ = 1.5418 Å (Cu Kα).
Lines closer than 0.1° are merged.

Crystal structure
Cell lengths 6.5283, 7.4973, 9.4175 Å; angles 90.00, 90.00, 90.00 degrees
Space group Imma (No. 74)
Inequivalent atoms, fractional coordinates:
Cs 0.0000 0.2500 0.1553 x4
Ce 0.0000 0.0000 0.5000 x4
Mn 0.2500 0.2500 0.7500 x4
O 0.0000 0.0806 0.7338 x8
O 0.2064 0.2500 0.5323 x8

Principal peaks in the range 2θ = 15–90°, most intense first:
2θ 29.1, I 100
2θ 31.6, I 66
2θ 26.2, I 51
2θ 31.4, I 46
2θ 53.9, I 42
2θ 30.5, I 40
2θ 27.3, I 33
2θ 49.4, I 30
2θ 16.5, I 30
2θ 59.1, I 28
2θ 46.8, I 25
2θ 56.4, I 22